1.
The following is a computed powder diffractogram of ScCd2. It was derived from a PBE-relaxed structure, using Cu Kα.
Intensities are scaled so that the largest is 100.

Structure:
```
ScCd2
1.0
0.0000 4.0101 4.0101
4.0101 0.0000 4.0101
4.0101 4.0101 0.0000
Sc Cd
2 4
Direct
0.1250 0.1250 0.1250 Sc
0.8750 0.8750 0.8750 Sc
0.0000 0.5000 0.5000 Cd
0.5000 0.0000 0.5000 Cd
0.5000 0.5000 0.0000 Cd
0.5000 0.5000 0.5000 Cd
```

The 8 most intense peaks (15 to 90 degrees two-theta), sorted by position:
2θ/deg	intensity
19.17	56
37.18	100
38.90	72
45.22	23
49.54	14
59.93	31
65.88	30
79.23	25


2.
The following is a computed powder diffractogram of Sc2Cd2Sn3. It was derived from a PBE-relaxed structure, using Cu Kα.
Intensities are scaled so that the largest is 100.

Structure:
```
Sc2Cd2Sn3
1.0
2.4134 1.3934 8.7801
-2.4134 1.3934 8.7801
0.0000 -2.7868 8.7801
Sc Cd Sn
2 2 3
Direct
0.0000 0.0000 0.0000 Sc
0.4980 0.4980 0.4980 Sc
0.2408 0.2408 0.2408 Cd
0.7554 0.7554 0.7554 Cd
0.3869 0.3869 0.3869 Sn
0.6278 0.6278 0.6278 Sn
0.8655 0.8655 0.8655 Sn
```

The 8 most intense peaks (15 to 90 degrees two-theta), sorted by position:
2θ/deg	intensity
22.31	25
27.23	27
34.68	100
37.26	96
51.81	31
65.53	31
67.18	17
89.65	14


3.
The following is a computed powder diffractogram of Sc2CdTe. It was derived from a PBE-relaxed structure, using Cu Kα.
Intensities are scaled so that the largest is 100.

Structure:
```
Sc2CdTe
1.0
7.3062 0.0000 0.0000
0.0000 7.3062 0.0000
0.0000 0.0000 7.3062
Sc Cd Te
8 4 4
Direct
0.0000 0.0000 0.0000 Sc
0.0000 0.5000 0.5000 Sc
0.2500 0.2500 0.2500 Sc
0.2500 0.7500 0.7500 Sc
0.5000 0.0000 0.5000 Sc
0.5000 0.5000 0.0000 Sc
0.7500 0.2500 0.7500 Sc
0.7500 0.7500 0.2500 Sc
0.2500 0.2500 0.7500 Cd
0.2500 0.7500 0.2500 Cd
0.7500 0.2500 0.2500 Cd
0.7500 0.7500 0.7500 Cd
0.0000 0.0000 0.5000 Te
0.0000 0.5000 0.0000 Te
0.5000 0.0000 0.0000 Te
0.5000 0.5000 0.5000 Te
```

The 8 most intense peaks (15 to 90 degrees two-theta), sorted by position:
2θ/deg	intensity
21.06	24
34.73	100
40.97	13
49.93	17
54.77	6
62.25	34
73.29	10
83.72	14